No. 1
Sr2Te3Pb: calculated powder diffraction line list (CuKα), based on a DFT-relaxed cell (PBE, Alexandria).

Cell and atoms:
```
data_Sr2Te3Pb
_chemical_formula_sum 'Sr4 Te6 Pb2'
_cell_length_a 4.7202
_cell_length_b 6.6599
_cell_length_c 14.1839
_cell_angle_alpha 90.00
_cell_angle_beta 90.00
_cell_angle_gamma 90.00
_symmetry_space_group_name_H-M 'I m m m'
_symmetry_Int_Tables_number 71
_symmetry_space_group_name_Hall '-I 2 2'
loop_
_atom_site_label
_atom_site_type_symbol
_atom_site_fract_x
_atom_site_fract_y
_atom_site_fract_z
Sr1 Sr 0.0000 0.0000 0.1662
Te1 Te 0.0000 0.5000 0.1645
Te2 Te 0.0000 0.5000 0.5000
Pb1 Pb 0.0000 0.0000 0.5000
```

Principal peaks in the range 2θ = 10–90°, in order of rising 2θ:
2θ (°)	Rel. int.
26.71	1000
38.14	781
47.18	283
62.16	248
62.31	123
68.89	183
69.01	91
87.78	124

No. 2
Ac3P: calculated powder diffraction line list (CuKα), based on a DFT-relaxed cell (PBE, Alexandria).

Cell and atoms:
```
data_Ac3P
_chemical_formula_sum 'Ac6 P2'
_cell_length_a 4.0808
_cell_length_b 10.4394
_cell_length_c 6.9771
_cell_angle_alpha 90.00
_cell_angle_beta 90.00
_cell_angle_gamma 90.00
_symmetry_space_group_name_H-M 'I m m 2'
_symmetry_Int_Tables_number 44
loop_
_symmetry_equiv_pos_as_xyz
'x,y,z'
'-x,-y,z'
'-x,y,z'
'x,-y,z'
'x+1/2,y+1/2,z+1/2'
'-x+1/2,-y+1/2,z+1/2'
'-x+1/2,y+1/2,z+1/2'
'x+1/2,-y+1/2,z+1/2'
loop_
_atom_site_label
_atom_site_type_symbol
_atom_site_fract_x
_atom_site_fract_y
_atom_site_fract_z
Ac1 Ac 0.0000 0.0000 0.0000
Ac2 Ac 0.0000 0.1839 0.4605
P1 P 0.0000 0.5000 0.1833
```

Principal peaks in the range 2θ = 10–90°, in order of rising 2θ:
2θ (°)	Rel. int.
23.41	473
25.53	543
28.67	846
30.62	1000
34.91	440
48.30	227
53.71	308
56.06	260

No. 3
Ca2SnBi6: calculated powder diffraction line list (CuKα), based on a DFT-relaxed cell (PBE, Alexandria).

Cell and atoms:
```
data_Ca2SnBi6
_chemical_formula_sum 'Ca4 Sn2 Bi12'
_cell_length_a 16.6184
_cell_length_b 4.6585
_cell_length_c 8.0543
_cell_angle_alpha 90.00
_cell_angle_beta 114.55
_cell_angle_gamma 90.00
_symmetry_space_group_name_H-M 'C 1 2/m 1'
_symmetry_Int_Tables_number 12
loop_
_symmetry_equiv_pos_as_xyz
'x,y,z'
'-x,-y,-z'
'-x,y,-z'
'x,-y,z'
'x+1/2,y+1/2,z'
'-x+1/2,-y+1/2,-z'
'-x+1/2,y+1/2,-z'
'x+1/2,-y+1/2,z'
loop_
_atom_site_label
_atom_site_type_symbol
_atom_site_fract_x
_atom_site_fract_y
_atom_site_fract_z
Ca1 Ca 0.0583 0.0000 0.3281
Sn1 Sn 0.0000 0.5000 0.0000
Bi1 Bi 0.0950 0.5000 0.6598
Bi2 Bi 0.1619 0.0000 0.0207
Bi3 Bi 0.2105 0.5000 0.3259
```

Principal peaks in the range 2θ = 10–90°, in order of rising 2θ:
2θ (°)	Rel. int.
21.52	194
30.31	1000
31.84	880
32.42	375
36.80	301
38.66	278
51.32	211
54.44	205

No. 4
AcPu4In15: calculated powder diffraction line list (CuKα), based on a DFT-relaxed cell (PBE, Alexandria).

Cell and atoms:
```
data_AcPu4In15
_chemical_formula_sum 'Ac1 Pu4 In15'
_cell_length_a 4.7180
_cell_length_b 4.7180
_cell_length_c 23.5398
_cell_angle_alpha 90.00
_cell_angle_beta 90.00
_cell_angle_gamma 90.00
_symmetry_space_group_name_H-M 'P 4/m m m'
_symmetry_Int_Tables_number 123
_symmetry_space_group_name_Hall '-P 4 2'
loop_
_atom_site_label
_atom_site_type_symbol
_atom_site_fract_x
_atom_site_fract_y
_atom_site_fract_z
Ac1 Ac 0.0000 0.0000 0.0000
Pu1 Pu 0.0000 0.0000 0.2064
Pu2 Pu 0.0000 0.0000 0.4020
In1 In 0.0000 0.5000 0.1089
In2 In 0.0000 0.5000 0.3043
In3 In 0.0000 0.5000 0.5000
In4 In 0.5000 0.5000 0.0000
In5 In 0.5000 0.5000 0.2058
In6 In 0.5000 0.5000 0.4023
```

Principal peaks in the range 2θ = 10–90°, in order of rising 2θ:
2θ (°)	Rel. int.
18.82	110
26.74	95
32.90	1000
38.18	498
55.09	329
65.65	269
65.76	108
69.00	107

No. 5
BaCd6Au3: calculated powder diffraction line list (CuKα), based on a DFT-relaxed cell (PBE, Alexandria).

Cell and atoms:
```
data_BaCd6Au3
_chemical_formula_sum 'Ba2 Cd12 Au6'
_cell_length_a 8.8884
_cell_length_b 4.6231
_cell_length_c 11.8179
_cell_angle_alpha 90.00
_cell_angle_beta 98.46
_cell_angle_gamma 90.00
_symmetry_space_group_name_H-M 'P 1 21/m 1'
_symmetry_Int_Tables_number 11
loop_
_symmetry_equiv_pos_as_xyz
'x,y,z'
'-x,-y,-z'
'-x,y+1/2,-z'
'x,-y+1/2,z'
loop_
_atom_site_label
_atom_site_type_symbol
_atom_site_fract_x
_atom_site_fract_y
_atom_site_fract_z
Ba1 Ba 0.0603 0.2500 0.2389
Cd1 Cd 0.1199 0.2500 0.5804
Cd2 Cd 0.2694 0.7500 0.0231
Cd3 Cd 0.3316 0.7500 0.6825
Cd4 Cd 0.3366 0.2500 0.8572
Cd5 Cd 0.4013 0.2500 0.4588
Cd6 Cd 0.4016 0.7500 0.2765
Au1 Au 0.0724 0.2500 0.9611
Au2 Au 0.2020 0.7500 0.4442
Au3 Au 0.4431 0.2500 0.1196
```

Principal peaks in the range 2θ = 10–90°, in order of rising 2θ:
2θ (°)	Rel. int.
15.16	274
30.54	368
32.81	1000
36.29	694
37.66	832
38.36	818
38.96	775
39.56	369

No. 6
Rb2LaHf2O7: calculated powder diffraction line list (CuKα), based on a DFT-relaxed cell (PBE, Alexandria).

Cell and atoms:
```
data_Rb2LaHf2O7
_chemical_formula_sum 'Rb4 La2 Hf4 O14'
_cell_length_a 4.1026
_cell_length_b 4.1026
_cell_length_c 23.2678
_cell_angle_alpha 90.00
_cell_angle_beta 90.00
_cell_angle_gamma 90.00
_symmetry_space_group_name_H-M 'I 4/m m m'
_symmetry_Int_Tables_number 139
_symmetry_space_group_name_Hall '-I 4 2'
loop_
_atom_site_label
_atom_site_type_symbol
_atom_site_fract_x
_atom_site_fract_y
_atom_site_fract_z
Rb1 Rb 0.0000 0.0000 0.1948
La1 La 0.0000 0.0000 0.0000
Hf1 Hf 0.0000 0.0000 0.4069
O1 O 0.0000 0.0000 0.3228
O2 O 0.0000 0.0000 0.5000
O3 O 0.0000 0.5000 0.0758
```

Principal peaks in the range 2θ = 10–90°, in order of rising 2θ:
2θ (°)	Rel. int.
29.02	1000
30.82	487
38.70	130
44.15	255
50.27	248
53.70	368
60.13	141
64.20	172